Theoretical X-ray powder pattern
Compound: DyMo6Se8
Radiation: Cu Kα (weighted mean of Kα1 and Kα2)
Structure: a structure optimized by DFT (PBE)

Largest 10 diffraction maxima, low angle first, 2θ = 10–90°:
- hkl 1 0 1, 13.06°, d 6.780, rel. 43.2
- hkl 1 1 3, 29.31°, d 3.047, rel. 37.5
- hkl 3 -1 1, 29.60°, d 3.018, rel. 38.4
- hkl 3 -2 2, 32.41°, d 2.762, rel. 46.0
- hkl 3 0 0, 32.54°, d 2.751, rel. 47.5
- hkl 0 1 5, 39.44°, d 2.285, rel. 42.3
- hkl 4 -3 1, 40.11°, d 2.248, rel. 82.5
- hkl 2 1 4, 41.98°, d 2.152, rel. 56.2
- hkl 4 -2 3, 44.36°, d 2.042, rel. 100.0
- hkl 3 2 4, 57.72°, d 1.597, rel. 39.4

Structure:
a = 9.5312 Å, b = 9.5312 Å, c = 11.8891 Å
α = 90.00°, β = 90.00°, γ = 120.00°
Space group R-3 (No. 148, hexagonal axes)
Inequivalent atoms, fractional coordinates:
Dy 0.0000 0.0000 0.0000
Mo 0.0178 0.1714 0.4052
Se 0.0000 0.0000 0.2367
Se 0.0064 0.6269 0.7494


Theoretical X-ray powder pattern
Compound: Dy2Si4Mo3
Radiation: Cu Kα (weighted mean of Kα1 and Kα2)
Structure: a structure optimized by DFT (PBE)

Largest 10 diffraction maxima, low angle first, 2θ = 10–90°:
- hkl 0 2 1, 29.35°, d 3.043, rel. 27.1
- hkl 1 1 -2, 29.84°, d 2.995, rel. 30.5
- hkl 1 2 -1, 30.44°, d 2.937, rel. 35.4
- hkl 1 2 1, 34.42°, d 2.606, rel. 37.1
- hkl 2 1 -2, 34.92°, d 2.569, rel. 38.5
- hkl 2 2 -1, 37.25°, d 2.414, rel. 100.0
- hkl 1 1 2, 37.51°, d 2.398, rel. 96.8
- hkl 2 2 0, 38.00°, d 2.368, rel. 31.9
- hkl 0 3 1, 41.61°, d 2.170, rel. 49.2
- hkl 3 0 -2, 42.23°, d 2.140, rel. 65.4

Structure:
a = 6.8612 Å, b = 6.9225 Å, c = 6.7478 Å
α = 90.00°, β = 108.85°, γ = 90.00°
Space group P2_1/c (No. 14)
Inequivalent atoms, fractional coordinates:
Dy 0.1906 0.1688 0.0607
Si 0.0908 0.5445 0.8690
Si 0.4951 0.6321 0.6293
Mo 0.2490 0.6626 0.2502
Mo 0.5000 0.0000 0.5000


Theoretical X-ray powder pattern
Compound: Dy2N3
Radiation: Cu Kα (weighted mean of Kα1 and Kα2)
Structure: a structure optimized by DFT (PBE)

Largest 10 diffraction maxima, low angle first, 2θ = 10–90°:
- hkl 2 1 1, 19.83°, d 4.477, rel. 8.6
- hkl 2 2 2, 28.19°, d 3.166, rel. 100.0
- hkl 4 0 0, 32.66°, d 2.742, rel. 37.5
- hkl 4 3 1, 42.01°, d 2.151, rel. 7.3
- hkl 4 4 0, 46.86°, d 1.939, rel. 38.4
- hkl 6 2 2, 55.59°, d 1.653, rel. 33.9
- hkl 4 4 4, 58.29°, d 1.583, rel. 7.5
- hkl 6 6 2, 75.58°, d 1.258, rel. 9.8
- hkl 8 4 0, 77.91°, d 1.226, rel. 7.7
- hkl 8 4 4, 87.06°, d 1.119, rel. 6.6

Structure:
a = 10.9672 Å, b = 10.9672 Å, c = 10.9672 Å
α = 90.00°, β = 90.00°, γ = 90.00°
Space group Ia-3 (No. 206)
Inequivalent atoms, fractional coordinates:
Dy 0.0000 0.0000 0.0000
Dy 0.0000 0.2500 0.2803
N 0.1014 0.1387 0.6288


Theoretical X-ray powder pattern
Compound: Dy3S3N
Radiation: Cu Kα (weighted mean of Kα1 and Kα2)
Structure: a structure optimized by DFT (PBE)

Largest 10 diffraction maxima, low angle first, 2θ = 10–90°:
- hkl 3 0 2, 26.31°, d 3.387, rel. 73.5
- hkl 0 0 4, 27.66°, d 3.225, rel. 100.0
- hkl 1 1 2, 28.11°, d 3.174, rel. 55.8
- hkl 1 1 3, 32.18°, d 2.781, rel. 24.5
- hkl 3 1 1, 33.20°, d 2.698, rel. 18.8
- hkl 3 1 2, 35.38°, d 2.537, rel. 39.6
- hkl 2 1 4, 39.52°, d 2.280, rel. 46.5
- hkl 0 2 0, 47.49°, d 1.915, rel. 23.3
- hkl 3 2 2, 55.10°, d 1.667, rel. 20.2
- hkl 0 2 4, 55.83°, d 1.647, rel. 18.3

Structure:
a = 11.9391 Å, b = 3.8292 Å, c = 12.9031 Å
α = 90.00°, β = 90.00°, γ = 90.00°
Space group Pnma (No. 62)
Inequivalent atoms, fractional coordinates:
Dy 0.0458 0.2500 0.1430
Dy 0.0683 0.2500 0.6321
Dy 0.2130 0.2500 0.8603
S 0.0919 0.2500 0.4008
S 0.1342 0.7500 0.9915
S 0.2262 0.7500 0.6928
N 0.0364 0.2500 0.7983